The following is a simulated XRD peak list of Zn12RhAu6. It was derived from DFT lattice parameters and positions (PBE), using CuKα.

Crystal structure
abc: 6.8646 6.8646 6.8646
angles: 95.47 95.47 95.47
Fractional positions:
Zn  0.0079  0.3058  0.0087
Zn  0.0087  0.0079  0.3058
Zn  0.1311  0.4064  0.4053
Zn  0.3058  0.0087  0.0079
Zn  0.4053  0.1311  0.4064
Zn  0.4064  0.4053  0.1311
Zn  0.5936  0.5947  0.8689
Zn  0.5947  0.8689  0.5936
Zn  0.6942  0.9913  0.9921
Zn  0.8689  0.5936  0.5947
Zn  0.9913  0.9921  0.6942
Zn  0.9921  0.6942  0.9913
Rh  0.5000  0.5000  0.5000
Au  0.2383  0.7174  0.7158
Au  0.2826  0.2842  0.7617
Au  0.2842  0.7617  0.2826
Au  0.7158  0.2383  0.7174
Au  0.7174  0.7158  0.2383
Au  0.7617  0.2826  0.2842

The 6 most intense peaks (2θ from 5° to 70°), low angle first:
2theta  Rel. int.
26.23  79
30.48  47
35.34  75
39.43  66
40.64  100
44.54  76



The following is a simulated XRD peak list of Mg14BSb. It was derived from DFT lattice parameters and positions (PBE), using CuKα.

Crystal structure
abc: 9.0462 6.4131 6.4131
angles: 72.18 90.00 90.00
Fractional positions:
Mg  0.0000  0.0000  0.0000
Mg  0.0000  0.4689  0.4689
Mg  0.0000  0.5358  0.9469
Mg  0.0000  0.9469  0.5358
Mg  0.2194  0.2219  0.2219
Mg  0.2799  0.6779  0.6779
Mg  0.3020  0.1325  0.7514
Mg  0.3020  0.7514  0.1325
Mg  0.5000  0.4211  0.9914
Mg  0.5000  0.9914  0.4211
Mg  0.6980  0.1325  0.7514
Mg  0.6980  0.7514  0.1325
Mg  0.7201  0.6779  0.6779
Mg  0.7806  0.2219  0.2219
B  0.5000  0.8251  0.8251
Sb  0.5000  0.4601  0.4601

The 6 most intense peaks (2θ from 5° to 70°), low angle first:
2theta  Rel. int.
9.78  40
17.52  39
24.49  27
34.62  28
34.77  29
35.48  100



The following is a simulated XRD peak list of CaAc3Tb. It was derived from DFT lattice parameters and positions (PBE), using CuKα.

Crystal structure
abc: 10.3080 10.3080 8.0799
angles: 90.00 90.00 91.06
Fractional positions:
Ca  0.2471  0.2529  0.2500
Ca  0.2529  0.2471  0.7500
Ca  0.7471  0.7529  0.2500
Ca  0.7529  0.7471  0.7500
Ac  0.0955  0.9045  0.3701
Ac  0.1047  0.6063  0.6192
Ac  0.1063  0.6047  0.1192
Ac  0.3937  0.8953  0.6192
Ac  0.3953  0.8937  0.1192
Ac  0.4045  0.5955  0.8701
Ac  0.5955  0.4045  0.1299
Ac  0.6047  0.1063  0.8808
Ac  0.6063  0.1047  0.3808
Ac  0.8937  0.3953  0.8808
Ac  0.8953  0.3937  0.3808
Ac  0.9045  0.0955  0.6299
Tb  0.0985  0.9015  0.8844
Tb  0.4015  0.5985  0.3844
Tb  0.5985  0.4015  0.6156
Tb  0.9015  0.0985  0.1156

The 6 most intense peaks (2θ from 5° to 70°), low angle first:
2theta  Rel. int.
12.03  33
27.52  46
29.30  100
29.50  93
34.82  32
53.26  48



The following is a simulated XRD peak list of La12Tb2Sm5. It was derived from DFT lattice parameters and positions (PBE), using CuKα.

Crystal structure
abc: 10.5167 10.5167 10.1502
angles: 114.73 114.73 42.72
Fractional positions:
La  0.0044  0.0044  0.2107
La  0.0661  0.6014  0.5025
La  0.0900  0.5915  0.1538
La  0.3986  0.9339  0.4975
La  0.4085  0.9100  0.8462
La  0.4867  0.4867  0.6556
La  0.5133  0.5133  0.3444
La  0.5915  0.0900  0.1538
La  0.6014  0.0661  0.5025
La  0.9100  0.4085  0.8462
La  0.9339  0.3986  0.4975
La  0.9956  0.9956  0.7893
Tb  0.3010  0.6990  0.0000
Tb  0.6990  0.3010  0.0000
Sm  0.0000  0.0000  0.5000
Sm  0.1741  0.1741  0.1658
Sm  0.3226  0.3226  0.8054
Sm  0.6774  0.6774  0.1946
Sm  0.8259  0.8259  0.8342

The 6 most intense peaks (2θ from 5° to 70°), low angle first:
2theta  Rel. int.
27.31  22
28.89  77
29.59  65
30.62  100
31.44  38
52.96  23



The following is a simulated XRD peak list of ScTe2AuN. It was derived from DFT lattice parameters and positions (PBE), using CuKα.

Crystal structure
abc: 5.5893 5.5893 3.9371
angles: 90.00 90.00 90.00
Fractional positions:
Sc  0.0000  0.0000  0.0000
Te  0.0000  0.5000  0.5000
Te  0.5000  0.0000  0.5000
Au  0.5000  0.5000  0.5000
N  0.5000  0.5000  0.0000

The 6 most intense peaks (2θ from 5° to 70°), low angle first:
2theta  Rel. int.
15.86  52
22.58  64
27.72  54
32.03  100
39.55  61
42.86  34



The following is a simulated XRD peak list of Ho6ZnCu5. It was derived from DFT lattice parameters and positions (PBE), using CuKα.

Crystal structure
abc: 7.7562 7.7562 6.9199
angles: 90.00 90.00 143.08
Fractional positions:
Ho  0.0000  0.0000  0.2450
Ho  0.0000  0.0000  0.7550
Ho  0.3314  0.6686  0.2481
Ho  0.3314  0.6686  0.7519
Ho  0.6686  0.3314  0.2481
Ho  0.6686  0.3314  0.7519
Zn  0.5000  0.5000  0.5000
Cu  0.1629  0.8371  0.5000
Cu  0.1660  0.8340  0.0000
Cu  0.5000  0.5000  0.0000
Cu  0.8340  0.1660  0.0000
Cu  0.8371  0.1629  0.5000

The 6 most intense peaks (2θ from 5° to 70°), low angle first:
2theta  Rel. int.
25.69  20
36.66  100
45.30  6
52.75  12
65.96  23
66.08  12